# 1
Cu5Au6: simulated powder X-ray diffraction pattern (Cu Kα X-rays), based on a crystal structure in Alexandria, relaxed with PBE.

Lattice parameters (Å, degrees): 8.1132 12.1584 4.1076 90.00 120.35 90.00
Space group C2/m (No. 12)
One atom of each set of equivalent atoms:
Cu1 0.0000 0.0000 0.0000 (multiplicity 2)
Cu2 0.0000 0.1584 0.5000 (multiplicity 4)
Cu3 0.0000 0.3213 0.0000 (multiplicity 4)
Au1 0.2251 0.5000 0.2237 (multiplicity 4)
Au2 0.2377 0.3374 0.7373 (multiplicity 8)

Top 6 peaks for 2θ = 10–90°, by angle:
25.44 deg, rel. 245
31.00 deg, rel. 322
40.52 deg, rel. 1000
44.09 deg, rel. 206
44.72 deg, rel. 191
78.66 deg, rel. 149

***

# 2
TbNd2Mg8: simulated powder X-ray diffraction pattern (Cu Kα X-rays), based on a crystal structure in Alexandria, relaxed with PBE.

Lattice parameters (Å, degrees): 5.2590 7.4440 15.2039 90.00 90.00 90.00
Space group Immm (No. 71)
One atom of each set of equivalent atoms:
Tb1 0.0000 0.0000 0.0000 (multiplicity 2)
Nd1 0.0000 0.0000 0.3002 (multiplicity 4)
Mg1 0.0000 0.2158 0.5000 (multiplicity 4)
Mg2 0.0000 0.2913 0.1413 (multiplicity 8)
Mg3 0.0000 0.5000 0.3423 (multiplicity 4)

Top 6 peaks for 2θ = 10–90°, by angle:
20.68 deg, rel. 793
21.21 deg, rel. 652
31.43 deg, rel. 392
34.09 deg, rel. 417
34.42 deg, rel. 1000
40.50 deg, rel. 340

***

# 3
CaTc2HgO8: simulated powder X-ray diffraction pattern (Cu Kα X-rays), based on a crystal structure in Alexandria, relaxed with PBE.

Lattice parameters (Å, degrees): 7.7713 7.7713 6.9395 90.00 90.00 90.00
Space group I-4m2 (No. 119)
One atom of each set of equivalent atoms:
Ca1 0.0000 0.0000 0.0000 (multiplicity 2)
Tc1 0.0000 0.0000 0.5000 (multiplicity 2)
Tc2 0.0000 0.5000 0.2500 (multiplicity 2)
Hg1 0.0000 0.5000 0.7500 (multiplicity 2)
O1 0.0000 0.1737 0.6620 (multiplicity 8)
O2 0.0000 0.3157 0.1016 (multiplicity 8)

Top 6 peaks for 2θ = 10–90°, by angle:
16.13 deg, rel. 216
17.13 deg, rel. 193
22.89 deg, rel. 1000
30.47 deg, rel. 778
32.59 deg, rel. 236
45.21 deg, rel. 609

***

# 4
Ce3Zn: simulated powder X-ray diffraction pattern (Cu Kα X-rays), based on a crystal structure in Alexandria, relaxed with PBE.

Lattice parameters (Å, degrees): 3.1966 5.4007 5.4716 90.00 90.00 90.00
Space group Pmm2 (No. 25)
One atom of each set of equivalent atoms:
Ce1 0.0000 0.0000 0.0000 (multiplicity 1)
Ce2 0.0000 0.5000 0.4752 (multiplicity 1)
Ce3 0.5000 0.5000 0.9514 (multiplicity 1)
Zn1 0.5000 0.0000 0.5064 (multiplicity 1)

Top 6 peaks for 2θ = 10–90°, by angle:
32.73 deg, rel. 319
33.18 deg, rel. 331
36.56 deg, rel. 1000
47.30 deg, rel. 227
60.95 deg, rel. 192
61.50 deg, rel. 217